# Li2V3O6
Computed X-ray powder pattern, Cu Kα (weighted mean of Kα1 and Kα2). Input: a structure optimized by DFT (PBE+U).
Lines closer than 0.1° are merged.

Top 10 peaks for 10 to 90 degrees two-theta, by angle:
d 4.942, 17.9°, intensity 100
d 2.550, 35.2°, intensity 23
d 2.508, 35.8°, intensity 11
d 2.126, 42.5°, intensity 47
d 2.091, 43.3°, intensity 22
d 1.944, 46.7°, intensity 10
d 1.643, 56.0°, intensity 10
d 1.503, 61.7°, intensity 12
d 1.501, 61.8°, intensity 6
d 1.479, 62.8°, intensity 12

Structure:
```
11
Lattice="2.5489 -4.5022 0.0000 2.5489 4.5022 0.0000 -1.6518 0.0000 4.9424" Properties=species:S:1:pos:R:3 pbc="T T T"
Li 0.0000 0.0000 0.0000
Li 2.5489 -1.4807 0.0000
V 1.7230 2.9886 2.4712
V 1.7230 0.0575 2.4712
V 1.7230 -3.0146 2.4712
O 0.8525 1.5424 1.3776
O -0.0232 -0.0635 3.5660
O 0.8113 -1.4462 1.4261
O 2.5935 1.5424 3.5649
O 3.4692 -0.0635 1.3765
O 2.6347 -1.4462 3.5163
```

---

# Sr6Y3FeCu8O22
Computed X-ray powder pattern, Cu Kα (weighted mean of Kα1 and Kα2). Input: a structure optimized by DFT (PBE+U).
Lines closer than 0.1° are merged.

Top 10 peaks for 10 to 90 degrees two-theta, by angle:
d 2.731, 32.8°, intensity 92
d 2.706, 33.1°, intensity 89
d 2.692, 33.3°, intensity 100
d 1.942, 46.8°, intensity 32
d 1.921, 47.3°, intensity 22
d 1.886, 48.2°, intensity 29
d 1.575, 58.6°, intensity 37
d 1.566, 59.0°, intensity 38
d 1.552, 59.6°, intensity 33
d 1.353, 69.5°, intensity 17

Structure:
```
40
Lattice="11.6510 0.0000 0.0000 0.0000 3.7727 0.0000 -3.8829 0.0000 11.5264" Properties=species:S:1:pos:R:3 pbc="T T T"
Sr 0.0010 0.0000 2.0798
Sr 0.0415 0.0000 9.5425
Sr 3.9237 0.0000 1.9861
Sr 3.8443 0.0000 9.5403
Sr 7.7266 0.0000 1.9839
Sr 7.7671 0.0000 9.4466
Y -0.0025 0.0000 5.7709
Y 3.8840 0.0000 5.7632
Y 7.7706 0.0000 5.7555
Fe 5.8255 1.8863 0.0000
Cu -1.9403 1.8863 7.5369
Cu 1.9027 1.8863 0.0002
Cu 1.9446 1.8863 3.9897
Cu 1.9441 1.8863 7.5152
Cu 5.8240 1.8863 4.0112
Cu 5.8235 1.8863 7.5367
Cu 5.8654 1.8863 11.5262
Cu 9.7083 1.8863 3.9895
O 0.0000 1.8863 0.0000
O -1.9505 0.0000 7.1835
O -1.9611 1.8863 9.6422
O 0.0000 1.8863 4.2868
O -0.0060 1.8863 7.2230
O 1.9218 1.8863 1.8849
O 1.9320 0.0000 4.3419
O 3.7617 1.8863 0.0004
O 1.9422 0.0000 7.1641
O 1.9421 1.8863 9.5829
O 3.8771 1.8863 4.3013
O 5.8255 0.0000 0.0000
O 3.8909 1.8863 7.2252
O 5.8260 1.8863 1.9436
O 5.8258 0.0000 4.3623
O 4.0064 1.8863 11.5261
O 5.8361 0.0000 7.1845
O 5.8463 1.8863 9.6416
O 7.7741 1.8863 4.3034
O 7.7680 1.8863 7.2396
O 9.7292 1.8863 1.8842
O 9.7186 0.0000 4.3429
```